Structure and theoretical PXRD pattern of AlNi9B8 (a cell relaxed with GGA-PBE; copper Kα).
Kinematic intensities with the Lorentz-polarization factor, no thermal factor.

Crystal structure
abc: 7.1539 8.1099 10.7769
angles: 90.00 90.00 90.00
Space group Cmcm (No. 63)
Symmetry-distinct sites (fractional):
Al  0.0000  0.0858  0.2500
Ni  0.0000  0.0000  0.0000
Ni  0.0000  0.2898  0.0812
Ni  0.1916  0.4314  0.6144
Ni  0.2223  0.1722  0.7500
B  0.0000  0.2200  0.6199
B  0.0000  0.3536  0.7500
B  0.0000  0.4320  0.2500
B  0.2112  0.1718  0.5512

The 10 most intense peaks (5 to 70 degrees two-theta), low angle first:
two_theta, I (rel.), h k l
30.0, 56, 2 0 2
37.3, 49, 1 1 4
39.4, 49, 3 1 0
40.3, 43, 3 1 1
42.0, 98, 2 2 3
43.8, 35, 1 3 3
45.5, 57, 0 4 1
47.8, 100, 2 2 4
51.1, 48, 4 0 0
51.8, 35, 0 4 3


Structure and theoretical PXRD pattern of SmAl3B4O12 (a cell relaxed with GGA-PBE; copper Kα).
Kinematic intensities with the Lorentz-polarization factor, no thermal factor.

Crystal structure
abc: 7.2207 9.3479 11.0515
angles: 90.00 102.88 90.00
Space group C2/c (No. 15)
Symmetry-distinct sites (fractional):
Sm  0.0000  0.0364  0.2500
Al  0.0000  0.4110  0.7500
Al  0.0559  0.2496  0.5286
B  0.1930  0.3137  0.2219
B  0.2488  0.4713  0.9953
O  0.0605  0.2399  0.1379
O  0.0939  0.0975  0.9358
O  0.0964  0.3969  0.9264
O  0.1597  0.2638  0.7050
O  0.1887  0.4580  0.2412
O  0.2503  0.1196  0.4975

The 10 most intense peaks (5 to 70 degrees two-theta), low angle first:
two_theta, I (rel.), h k l
15.8, 59, 1 1 0
16.5, 33, 0 0 2
20.7, 47, 1 1 -2
25.3, 61, 2 0 0
31.4, 29, 1 3 0
33.2, 100, 0 0 4
34.3, 22, 1 1 -4
38.6, 27, 0 2 4
46.4, 22, 2 4 -1
55.6, 21, 4 0 -4


Structure and theoretical PXRD pattern of PrAlB4 (a cell relaxed with GGA-PBE; copper Kα).
Kinematic intensities with the Lorentz-polarization factor, no thermal factor.

Crystal structure
abc: 3.1232 3.1232 7.6270
angles: 90.00 90.00 120.00
Space group P6/mmm (No. 191)
Symmetry-distinct sites (fractional):
Pr  0.0000  0.0000  0.0000
Al  0.0000  0.0000  0.5000
B  0.3333  0.6667  0.2949

The 10 most intense peaks (5 to 70 degrees two-theta), low angle first:
two_theta, I (rel.), h k l
11.6, 100, 0 0 1
23.3, 39, 0 0 2
33.1, 59, 1 0 0
35.2, 75, 0 0 3
40.9, 94, 1 0 2
49.2, 18, 1 0 3
59.2, 18, 1 1 0
59.3, 25, 1 0 4
60.5, 10, 1 1 1
64.5, 16, 1 1 2